(1)
# Pr3BiB
Computed powder diffractogram, λ = 1.5418 Å (Cu Kα). Input: a crystal structure in Alexandria, relaxed with GGA-PBE.
Intensities are scaled so that the largest is 100.

Top 10 peaks for 2θ from 10° to 80°, most intense first:
3.048 Å, rel. 100; 2.639 Å, rel. 54; 1.592 Å, rel. 45; 1.866 Å, rel. 39; 1.211 Å, rel. 18; 1.524 Å, rel. 13; 1.320 Å, rel. 6; 3.733 Å, rel. 3; 5.279 Å, rel. 2; 2.155 Å, rel. 2

Cell and atoms:
a = 5.2787 Å, b = 5.2787 Å, c = 5.2787 Å
α = 90.00°, β = 90.00°, γ = 90.00°
Fractional coordinates of all 5 atoms:
Pr: 0.0000 0.0000 0.5000
Pr: 0.0000 0.5000 0.0000
Pr: 0.5000 0.0000 0.0000
Bi: 0.5000 0.5000 0.5000
B: 0.0000 0.0000 0.0000

(2)
# Dy3Ge2Ir2
Computed powder diffractogram, λ = 1.5418 Å (Cu Kα). Input: a crystal structure in Alexandria, relaxed with GGA-PBE.
Intensities are scaled so that the largest is 100.

Top 10 peaks for 2θ from 10° to 80°, most intense first:
2.271 Å, rel. 100; 2.365 Å, rel. 58; 2.602 Å, rel. 49; 2.537 Å, rel. 42; 2.691 Å, rel. 39; 2.222 Å, rel. 34; 2.592 Å, rel. 31; 2.642 Å, rel. 26; 2.088 Å, rel. 22; 2.312 Å, rel. 20

Cell and atoms:
a = 5.6149 Å, b = 7.8219 Å, c = 13.3306 Å
α = 90.00°, β = 90.00°, γ = 90.00°
Fractional coordinates of all 28 atoms:
Dy: 0.1238 0.2422 0.2500
Dy: 0.1238 0.2578 0.7500
Dy: 0.3555 0.6060 0.1003
Dy: 0.3555 0.6060 0.3997
Dy: 0.3555 0.8940 0.6003
Dy: 0.3555 0.8940 0.8997
Dy: 0.6445 0.1060 0.1003
Dy: 0.6445 0.1060 0.3997
Dy: 0.6445 0.3940 0.6003
Dy: 0.6445 0.3940 0.8997
Dy: 0.8762 0.7422 0.2500
Dy: 0.8762 0.7578 0.7500
Ge: 0.1504 0.2500 0.0000
Ge: 0.1504 0.2500 0.5000
Ge: 0.3761 0.6082 0.7500
Ge: 0.3761 0.8918 0.2500
Ge: 0.6239 0.1082 0.7500
Ge: 0.6239 0.3918 0.2500
Ge: 0.8496 0.7500 0.0000
Ge: 0.8496 0.7500 0.5000
Ir: 0.1337 0.5417 0.5925
Ir: 0.1337 0.5417 0.9075
Ir: 0.1337 0.9583 0.0925
Ir: 0.1337 0.9583 0.4075
Ir: 0.8663 0.0417 0.5925
Ir: 0.8663 0.0417 0.9075
Ir: 0.8663 0.4583 0.0925
Ir: 0.8663 0.4583 0.4075

(3)
# Ce8Al2Pb
Computed powder diffractogram, λ = 1.5418 Å (Cu Kα). Input: a crystal structure in Alexandria, relaxed with GGA-PBE.
Intensities are scaled so that the largest is 100.

Top 10 peaks for 2θ from 10° to 80°, most intense first:
2.696 Å, rel. 100; 2.582 Å, rel. 91; 2.407 Å, rel. 62; 3.582 Å, rel. 56; 2.537 Å, rel. 55; 1.746 Å, rel. 48; 2.846 Å, rel. 46; 2.670 Å, rel. 36; 3.681 Å, rel. 35; 1.829 Å, rel. 22

Cell and atoms:
a = 8.7359 Å, b = 8.7359 Å, c = 8.0604 Å
α = 113.95°, β = 113.95°, γ = 31.99°
Fractional coordinates of all 11 atoms:
Ce: 0.0128 0.0128 0.3427
Ce: 0.1771 0.1771 0.1043
Ce: 0.3463 0.3463 0.1253
Ce: 0.3504 0.3504 0.5689
Ce: 0.6496 0.6496 0.4311
Ce: 0.6537 0.6537 0.8747
Ce: 0.8229 0.8229 0.8957
Ce: 0.9872 0.9872 0.6573
Al: 0.1959 0.1959 0.7019
Al: 0.8041 0.8041 0.2981
Pb: 0.5000 0.5000 0.0000

(4)
# PuCoNi2
Computed powder diffractogram, λ = 1.5418 Å (Cu Kα). Input: a crystal structure in Alexandria, relaxed with GGA-PBE.
Intensities are scaled so that the largest is 100.

Top 10 peaks for 2θ from 10° to 80°, most intense first:
2.204 Å, rel. 100; 3.750 Å, rel. 32; 1.875 Å, rel. 30; 2.724 Å, rel. 29; 1.362 Å, rel. 21; 1.982 Å, rel. 18; 3.965 Å, rel. 17; 2.651 Å, rel. 13; 1.544 Å, rel. 12; 1.326 Å, rel. 9

Cell and atoms:
a = 3.7498 Å, b = 3.7498 Å, c = 3.9645 Å
α = 90.00°, β = 90.00°, γ = 90.00°
Fractional coordinates of all 4 atoms:
Pu: 0.0000 0.0000 0.0000
Co: 0.5000 0.5000 0.0000
Ni: 0.0000 0.5000 0.5000
Ni: 0.5000 0.0000 0.5000

(5)
# AlTl2As
Computed powder diffractogram, λ = 1.5418 Å (Cu Kα). Input: a crystal structure in Alexandria, relaxed with GGA-PBE.
Intensities are scaled so that the largest is 100.

Top 10 peaks for 2θ from 10° to 80°, most intense first:
2.686 Å, rel. 100; 4.208 Å, rel. 53; 2.394 Å, rel. 36; 1.432 Å, rel. 29; 1.623 Å, rel. 22; 2.081 Å, rel. 17; 2.507 Å, rel. 15; 2.208 Å, rel. 14; 1.692 Å, rel. 13; 1.350 Å, rel. 12

Cell and atoms:
a = 5.5634 Å, b = 5.5634 Å, c = 5.5634 Å
α = 129.04°, β = 129.04°, γ = 74.95°
Fractional coordinates of all 4 atoms:
Al: 0.0000 0.0000 0.0000
Tl: 0.5000 0.5000 0.0000
Tl: 0.7500 0.2500 0.5000
As: 0.2500 0.7500 0.5000

(6)
# Tb3Pd5Pb
Computed powder diffractogram, λ = 1.5418 Å (Cu Kα). Input: a crystal structure in Alexandria, relaxed with GGA-PBE.
Intensities are scaled so that the largest is 100.

Top 10 peaks for 2θ from 10° to 80°, most intense first:
2.386 Å, rel. 100; 2.677 Å, rel. 80; 2.905 Å, rel. 76; 2.601 Å, rel. 39; 1.938 Å, rel. 36; 2.376 Å, rel. 28; 1.557 Å, rel. 28; 2.237 Å, rel. 26; 1.976 Å, rel. 19; 3.364 Å, rel. 17

Cell and atoms:
a = 8.2529 Å, b = 8.2529 Å, c = 8.2529 Å
α = 120.28°, β = 120.28°, γ = 89.51°
Fractional coordinates of all 18 atoms:
Tb: 0.1265 0.6265 0.7530
Tb: 0.2500 0.2500 0.0000
Tb: 0.3735 0.1265 0.5000
Tb: 0.6265 0.8735 0.5000
Tb: 0.7500 0.7500 0.0000
Tb: 0.8735 0.3735 0.2470
Pd: 0.0000 0.0000 0.0000
Pd: 0.0634 0.1646 0.5000
Pd: 0.1646 0.6646 0.1012
Pd: 0.3354 0.4366 0.5000
Pd: 0.4366 0.9366 0.1012
Pd: 0.5000 0.5000 0.0000
Pd: 0.5634 0.0634 0.8988
Pd: 0.6646 0.5634 0.5000
Pd: 0.8354 0.3354 0.8988
Pd: 0.9366 0.8354 0.5000
Pb: 0.2500 0.7500 0.5000
Pb: 0.7500 0.2500 0.5000

(7)
# Tl2SnBiPb5
Computed powder diffractogram, λ = 1.5418 Å (Cu Kα). Input: a crystal structure in Alexandria, relaxed with GGA-PBE.
Intensities are scaled so that the largest is 100.

Top 10 peaks for 2θ from 10° to 80°, most intense first:
3.011 Å, rel. 100; 2.905 Å, rel. 62; 1.697 Å, rel. 36; 2.397 Å, rel. 31; 3.394 Å, rel. 28; 2.827 Å, rel. 26; 2.952 Å, rel. 19; 2.241 Å, rel. 16; 2.001 Å, rel. 16; 2.598 Å, rel. 16

Cell and atoms:
a = 8.2155 Å, b = 8.2155 Å, c = 8.8554 Å
α = 90.00°, β = 90.00°, γ = 90.00°
Fractional coordinates of all 18 atoms:
Tl: 0.1282 0.3718 0.0000
Tl: 0.3718 0.8718 0.0000
Tl: 0.6282 0.1282 0.0000
Tl: 0.8718 0.6282 0.0000
Sn: 0.0000 0.5000 0.5000
Sn: 0.5000 0.0000 0.5000
Bi: 0.0000 0.0000 0.5000
Bi: 0.5000 0.5000 0.5000
Pb: 0.0000 0.0000 0.0000
Pb: 0.2304 0.7304 0.3073
Pb: 0.2304 0.7304 0.6927
Pb: 0.2696 0.2304 0.3073
Pb: 0.2696 0.2304 0.6927
Pb: 0.5000 0.5000 0.0000
Pb: 0.7304 0.7696 0.3073
Pb: 0.7304 0.7696 0.6927
Pb: 0.7696 0.2696 0.3073
Pb: 0.7696 0.2696 0.6927